Structure and calculated XRD peak list of Cr3As (a structure optimized by DFT (PBE); a wavelength of 1.5418 Å).
Neutral-atom scattering factors, no anomalous dispersion.

Structural model:
```
Cr3As
1.0
0.000 2.887 2.887
2.887 0.000 2.887
2.887 2.887 0.000
Cr As
3 1
Direct
0.000 0.000 0.000
0.250 0.250 0.250
0.750 0.750 0.750
0.500 0.500 0.500
```

The 7 most intense peaks (2θ = 10–80°), by angle:
two_theta	intensity
26.74	2
30.97	1
44.37	100
52.56	1
64.55	15
71.17	1
73.32	1